(1)
Diffraction record for GdTmAl4Pt2. The XRD peak list is simulated, not measured: it uses DFT lattice parameters and positions (PBE) and λ = 1.5418 Å (Cu Kα).

Main lines, in order of rising 2θ (5 to 70 degrees two-theta):
d = 3.942 Å, I = 42.6; d = 3.470 Å, I = 60.6; d = 2.605 Å, I = 56.7; d = 2.490 Å, I = 100.0; d = 2.403 Å, I = 49.8; d = 1.748 Å, I = 29.1

Atomic structure:
```
data_GdTmAl4Pt2
_symmetry_space_group_name_H-M 'A m m 2'
_symmetry_Int_Tables_number 38
_symmetry_space_group_name_Hall 'A 2 -2'
_cell_length_a 6.939
_cell_length_b 4.271
_cell_length_c 10.248
_cell_angle_alpha 90.00
_cell_angle_beta 90.00
_cell_angle_gamma 90.00
loop_
_atom_site_label
_atom_site_fract_x
_atom_site_fract_y
_atom_site_fract_z
Gd1 0.000 0.000 0.000
Tm1 0.500 0.000 0.143
Al1 0.198 0.000 0.714
Al2 0.305 0.000 0.428
Pt1 0.000 0.000 0.283
Pt2 0.500 0.000 0.861
```

---

(2)
Diffraction record for Sm2Gd2AlTl. The XRD peak list is simulated, not measured: it uses DFT lattice parameters and positions (PBE) and λ = 1.5418 Å (Cu Kα).

Main lines, in order of rising 2θ (5 to 70 degrees two-theta):
d = 2.754 Å, I = 100.0; d = 2.695 Å, I = 94.4; d = 1.926 Å, I = 35.6; d = 1.567 Å, I = 36.8; d = 1.556 Å, I = 18.0; d = 1.441 Å, I = 27.5

Atomic structure:
```
data_Sm2Gd2AlTl
_symmetry_space_group_name_H-M 'P -6 m 2'
_symmetry_Int_Tables_number 187
_symmetry_space_group_name_Hall 'P -6 2'
_cell_length_a 5.3898
_cell_length_b 5.3898
_cell_length_c 6.8234
_cell_angle_alpha 90.00
_cell_angle_beta 90.00
_cell_angle_gamma 120.00
loop_
_atom_site_label
_atom_site_fract_x
_atom_site_fract_y
_atom_site_fract_z
Sm1 0.0000 0.0000 0.0000
Sm2 0.3333 0.6667 0.5000
Gd1 0.6667 0.3333 0.2580
Al1 0.0000 0.0000 0.5000
Tl1 0.3333 0.6667 0.0000
```

---

(3)
Diffraction record for GdTmAl2Zn2. The XRD peak list is simulated, not measured: it uses DFT lattice parameters and positions (PBE) and λ = 1.5418 Å (Cu Kα).

Main lines, in order of rising 2θ (5 to 70 degrees two-theta):
d = 3.868 Å, I = 39.8; d = 2.627 Å, I = 100.0; d = 2.233 Å, I = 50.2; d = 1.701 Å, I = 27.1; d = 1.397 Å, I = 16.3; d = 1.353 Å, I = 25.1

Atomic structure:
```
data_GdTmAl2Zn2
_symmetry_space_group_name_H-M 'P 3 m 1'
_symmetry_Int_Tables_number 156
_symmetry_space_group_name_Hall 'P 3 -2"'
_cell_length_a 4.4660
_cell_length_b 4.4660
_cell_length_c 7.1592
_cell_angle_alpha 90.00
_cell_angle_beta 90.00
_cell_angle_gamma 120.00
loop_
_atom_site_label
_atom_site_fract_x
_atom_site_fract_y
_atom_site_fract_z
Gd1 0.0000 0.0000 0.0000
Tm1 0.0000 0.0000 0.4995
Al1 0.3333 0.6667 0.2312
Al2 0.6667 0.3333 0.7199
Zn1 0.3333 0.6667 0.7847
Zn2 0.6667 0.3333 0.2988
```